Starting from a cell relaxed with GGA-PBE, the powder diffraction line list of HfNbPt was calculated for copper Kα.
No peak broadening, texture or thermal motion is included.

The 10 most intense peaks (10° ≤ 2θ ≤ 90°), by angle:
hkl	d [Å]	2θ/deg	I (rel.)
1 0 0	7.189	12.31	48.8
2 0 -2	2.497	35.96	55.1
1 0 2	2.441	36.83	100.0
3 0 0	2.396	37.53	73.9
1 2 -1	2.379	37.81	46.0
2 1 -2	2.268	39.75	29.3
1 2 1	2.245	40.17	55.7
2 2 -1	2.114	42.78	48.3
2 2 1	1.934	46.99	27.0
2 4 -2	1.190	80.79	16.3

Structural model:
Cell lengths 7.3702, 5.4115, 5.7646 Å; angles 90.00, 102.73, 90.00 degrees
Space group P2_1/c (No. 14)
Asymmetric unit:
Hf 0.1663 0.1328 0.3886 (multiplicity 4)
Nb 0.4696 0.6381 0.2764 (multiplicity 4)
Pt 0.1576 0.6402 0.4848 (multiplicity 4)